This entry pairs a crystal structure of Co2Pt3 with its computed PXRD pattern. Radiation: Cu Kα X-rays. Structure: the GGA-PBE geometry in Alexandria.
Lines closer than 0.1° are merged.

Main lines, by angle (10 to 80 degrees two-theta):
hkl 2 2 0, 2θ 23.6, intensity 28
hkl 1 3 1, 2θ 29.5, intensity 30
hkl 4 0 0, 2θ 39.2, intensity 33
hkl 1 5 1, 2θ 40.5, intensity 100
hkl 3 3 1, 2θ 40.7, intensity 36
hkl 4 2 0, 2θ 41.6, intensity 22
hkl 2 0 2, 2θ 43.2, intensity 75
hkl 3 5 1, 2θ 49.6, intensity 43
hkl 5 3 1, 2θ 57.8, intensity 17
hkl 1 5 3, 2θ 70.7, intensity 19

Cell and atoms:
```
data_Co2Pt3
_cell_length_a 9.200
_cell_length_b 13.131
_cell_length_c 4.708
_cell_angle_alpha 90.00
_cell_angle_beta 90.00
_cell_angle_gamma 90.00
_symmetry_space_group_name_H-M 'F d d 2'
_symmetry_Int_Tables_number 43
_symmetry_space_group_name_Hall 'F 2 -2d'
loop_
_atom_site_label
_atom_site_type_symbol
_atom_site_fract_x
_atom_site_fract_y
_atom_site_fract_z
_atom_site_occupancy
Co1 Co 0.021 0.295 0.000 1
Pt1 Pt 0.000 0.000 0.467 1
Pt2 Pt 0.037 0.396 0.474 1
```